Calculated powder XRD pattern
Compound: RbMo2PtO8
Radiation: Cu Kα (weighted mean of Kα1 and Kα2)
Structure: a crystal structure in Alexandria, relaxed with GGA+U
Kinematic intensities with the Lorentz-polarization factor, no thermal factor.

Most intense lines, 2θ = 10–90°, by angle:
- 10.70 deg, d 8.268, I 41, (0 0 1)
- 18.54 deg, d 4.785, I 33, (1 0 0)
- 21.46 deg, d 4.141, I 79, (0 1 1)
- 28.53 deg, d 3.128, I 100, (0 1 2)
- 32.41 deg, d 2.762, I 61, (1 1 0)
- 37.65 deg, d 2.389, I 17, (1 0 3)
- 39.21 deg, d 2.298, I 17, (2 0 1)
- 43.72 deg, d 2.070, I 36, (2 0 2)
- 55.48 deg, d 1.656, I 53, (1 1 4)
- 75.21 deg, d 1.263, I 19, (3 1 2)

a = 5.5251 Å, b = 5.5251 Å, c = 8.2681 Å
α = 90.00°, β = 90.00°, γ = 120.00°
Atoms (fractional coordinates):
Rb (0.0000, 0.0000, 0.0000)
Mo (0.3333, 0.6667, 0.7129)
Mo (0.6667, 0.3333, 0.2871)
Pt (0.0000, 0.0000, 0.5000)
O (0.0529, 0.3239, 0.6484)
O (0.2710, 0.9471, 0.6484)
O (0.3239, 0.2710, 0.3516)
O (0.3333, 0.6667, 0.9251)
O (0.6667, 0.3333, 0.0749)
O (0.6761, 0.7290, 0.6484)
O (0.7290, 0.0529, 0.3516)
O (0.9471, 0.6761, 0.3516)